For LiVP3O9, a GGA+U-relaxed structure gives the theoretical powder diffraction line list in this record (λ = 1.5418 Å (Cu Kα)).
Lines closer than 0.1° are merged.

```
LiVP3O9
1.0
5.2287 0.0000 0.0000
0.0000 12.2435 0.0000
0.0000 0.0000 13.2026
Li V P O
4 4 12 36
direct
0.0025 0.0118 0.2500 Li
0.0025 0.4882 0.7500 Li
0.9975 0.5118 0.2500 Li
0.9975 0.9882 0.7500 Li
0.0000 0.0000 0.0000 V
0.0000 0.0000 0.5000 V
0.0000 0.5000 0.0000 V
0.0000 0.5000 0.5000 V
0.2478 0.7500 0.0000 P
0.2478 0.7500 0.5000 P
0.4939 0.5873 0.6396 P
0.4939 0.5873 0.8604 P
0.4939 0.9127 0.1396 P
0.4939 0.9127 0.3604 P
0.5061 0.0873 0.6396 P
0.5061 0.0873 0.8604 P
0.5061 0.4127 0.1396 P
0.5061 0.4127 0.3604 P
0.7522 0.2500 0.0000 P
0.7522 0.2500 0.5000 P
0.1028 0.6614 0.0528 O
0.1028 0.6614 0.4472 O
0.1028 0.8386 0.5528 O
0.1028 0.8386 0.9472 O
0.2332 0.0493 0.6322 O
0.2332 0.0493 0.8678 O
0.2332 0.4507 0.1322 O
0.2332 0.4507 0.3678 O
0.2842 0.5044 0.6211 O
0.2842 0.5044 0.8789 O
0.2842 0.9956 0.1211 O
0.2842 0.9956 0.3789 O
0.4489 0.6387 0.7500 O
0.4489 0.8613 0.2500 O
0.4574 0.6961 0.5757 O
0.4574 0.6961 0.9243 O
0.4574 0.8039 0.0757 O
0.4574 0.8039 0.4243 O
0.5426 0.1961 0.5757 O
0.5426 0.1961 0.9243 O
0.5426 0.3039 0.0757 O
0.5426 0.3039 0.4243 O
0.5511 0.1387 0.7500 O
0.5511 0.3613 0.2500 O
0.7158 0.0044 0.6211 O
0.7158 0.0044 0.8789 O
0.7158 0.4956 0.1211 O
0.7158 0.4956 0.3789 O
0.7668 0.5493 0.6322 O
0.7668 0.5493 0.8678 O
0.7668 0.9507 0.1322 O
0.7668 0.9507 0.3678 O
0.8972 0.1614 0.0528 O
0.8972 0.1614 0.4472 O
0.8972 0.3386 0.5528 O
0.8972 0.3386 0.9472 O
```

Peak list (12 most intense, 2θ from 10° to 90°, in order of falling intensity)
Position (°2θ)	I (rel.)
13.41	100
15.96	90
23.37	70
14.47	47
21.68	40
32.07	35
18.45	32
22.88	28
26.16	24
35.34	22
46.74	22
32.24	19